# 1
# La2Nd5Hg
Theoretical powder diffraction line list, Cu Kα (weighted mean of Kα1 and Kα2). Input: a DFT-relaxed cell (PBE, Alexandria).
Lines closer than 0.1° are merged.

Cell and atoms:
```
data_La2Nd5Hg
_cell_length_a 7.183
_cell_length_b 7.183
_cell_length_c 10.265
_cell_angle_alpha 90.00
_cell_angle_beta 90.00
_cell_angle_gamma 90.00
_symmetry_space_group_name_H-M 'I -4 2 m'
_symmetry_Int_Tables_number 121
_symmetry_space_group_name_Hall 'I -4 2'
loop_
_atom_site_label
_atom_site_type_symbol
_atom_site_fract_x
_atom_site_fract_y
_atom_site_fract_z
La1 La 0.000 0.500 0.000
Nd1 Nd 0.000 0.000 0.000
Nd2 Nd 0.250 0.250 0.250
Hg1 Hg 0.000 0.000 0.500
```

Most intense lines, 5 to 70 degrees two-theta, sorted by position:
index, Position (°2θ), d/Å, intensity
1 0 1, 15.05, 5.885, 1
1 1 0, 17.46, 5.079, 1
1 1 2, 24.66, 3.610, 1
2 0 2, 30.38, 2.943, 100
0 0 4, 34.96, 2.566, 17
2 2 0, 35.34, 2.540, 33
2 2 4, 50.56, 1.805, 24
4 0 0, 50.84, 1.796, 12
2 0 6, 59.88, 1.545, 15
4 2 2, 60.39, 1.533, 28
4 0 4, 63.20, 1.471, 12

---

# 2
# Pm3P2
Theoretical powder diffraction line list, Cu Kα (weighted mean of Kα1 and Kα2). Input: a DFT-relaxed cell (PBE, Alexandria).
Lines closer than 0.1° are merged.

Cell and atoms:
```
data_Pm3P2
_cell_length_a 7.0152
_cell_length_b 7.0152
_cell_length_c 20.0505
_cell_angle_alpha 90.00
_cell_angle_beta 90.00
_cell_angle_gamma 120.00
_symmetry_space_group_name_H-M 'R -3 c'
_symmetry_Int_Tables_number 167
_symmetry_space_group_name_Hall '-R 3 2"c'
loop_
_atom_site_label
_atom_site_type_symbol
_atom_site_fract_x
_atom_site_fract_y
_atom_site_fract_z
Pm1 Pm 0.0000 0.3260 0.2500
P1 P 0.0000 0.0000 0.1619
```

Most intense lines, 5 to 70 degrees two-theta, sorted by position:
index, Position (°2θ), d/Å, intensity
1 1 0, 25.39, 3.508, 11
0 0 6, 26.68, 3.342, 20
1 1 3, 28.74, 3.106, 100
1 1 6, 37.16, 2.419, 27
3 0 0, 44.75, 2.025, 25
1 1 9, 48.40, 1.881, 24
3 0 6, 52.86, 1.732, 18
2 2 3, 54.06, 1.696, 17
0 0 12, 54.95, 1.671, 5
2 2 6, 59.53, 1.553, 7
1 1 12, 61.47, 1.509, 2
2 2 9, 68.03, 1.378, 8

---

# 3
# CsRb2HoI6
Theoretical powder diffraction line list, Cu Kα (weighted mean of Kα1 and Kα2). Input: a DFT-relaxed cell (PBE, Alexandria).
Lines closer than 0.1° are merged.

Cell and atoms:
```
data_CsRb2HoI6
_cell_length_a 9.0510
_cell_length_b 9.0510
_cell_length_c 23.5187
_cell_angle_alpha 90.00
_cell_angle_beta 90.00
_cell_angle_gamma 120.00
_symmetry_space_group_name_H-M 'R 3'
_symmetry_Int_Tables_number 146
_symmetry_space_group_name_Hall 'R 3'
loop_
_atom_site_label
_atom_site_type_symbol
_atom_site_fract_x
_atom_site_fract_y
_atom_site_fract_z
Cs1 Cs 0.0000 0.0000 0.0000
Rb1 Rb 0.0000 0.0000 0.2868
Rb2 Rb 0.0000 0.0000 0.7986
Ho1 Ho 0.0000 0.0000 0.4906
I1 I 0.0332 0.2958 0.5619
I2 I 0.0722 0.6785 0.0784
```

Most intense lines, 5 to 70 degrees two-theta, sorted by position:
index, Position (°2θ), d/Å, intensity
1 0 1, 11.90, 7.436, 18
0 1 2, 13.58, 6.522, 50
1 0 4, 18.87, 4.703, 21
1 1 3, 22.69, 3.919, 100
0 2 4, 27.35, 3.261, 32
2 -1 6, 30.16, 2.963, 70
3 -1 4, 33.88, 2.646, 31
3 0 0, 34.32, 2.613, 43
3 -2 5, 35.82, 2.507, 15
1 1 9, 39.83, 2.263, 24
0 0 12, 46.33, 1.960, 20
3 2 4, 53.27, 1.720, 17

---

# 4
# Tb3Ge2Se
Theoretical powder diffraction line list, Cu Kα (weighted mean of Kα1 and Kα2). Input: a DFT-relaxed cell (PBE, Alexandria).
Lines closer than 0.1° are merged.

Cell and atoms:
```
data_Tb3Ge2Se
_cell_length_a 4.143
_cell_length_b 4.143
_cell_length_c 17.580
_cell_angle_alpha 90.00
_cell_angle_beta 90.00
_cell_angle_gamma 90.00
_symmetry_space_group_name_H-M 'I 4/m m m'
_symmetry_Int_Tables_number 139
_symmetry_space_group_name_Hall '-I 4 2'
loop_
_atom_site_label
_atom_site_type_symbol
_atom_site_fract_x
_atom_site_fract_y
_atom_site_fract_z
Tb1 Tb 0.000 0.000 0.000
Tb2 Tb 0.000 0.000 0.333
Ge1 Ge 0.000 0.000 0.165
Se1 Se 0.000 0.000 0.500
```

Most intense lines, 5 to 70 degrees two-theta, sorted by position:
index, Position (°2θ), d/Å, intensity
1 0 3, 26.34, 3.383, 23
1 1 0, 30.51, 2.930, 100
2 0 0, 43.69, 2.072, 75
1 0 9, 51.74, 1.767, 11
2 0 6, 54.22, 1.692, 26
2 2 0, 63.50, 1.465, 12
2 1 9, 69.98, 1.344, 5